Starting from a cell relaxed with PBE, the powder X-ray diffraction pattern of Sr8Al7 was computed for Cu Kα.
Kinematic intensities with the Lorentz-polarization factor, no thermal factor.

Top 10 peaks for 15 to 90 degrees two-theta, by angle:
hkl  d [Å]  2θ/deg  I (rel.)
2 2 2  3.684  24.16  46.4
3 2 0  3.540  25.16  26.3
3 1 2  3.411  26.13  69.4
4 0 1  3.095  28.84  100.0
4 1 1  3.008  29.70  66.2
4 0 2  2.854  31.35  24.4
4 2 1  2.785  32.14  24.5
4 1 3  2.503  35.88  32.5
5 4 0  1.993  45.51  34.5
5 4 2  1.902  47.81  34.3

Atomic structure:
Cell: 12.762 12.762 12.762 Å, 90.00 90.00 90.00°
Space group P2_13 (No. 198)
Inequivalent atoms, fractional coordinates:
Sr 0.006 0.197 0.940
Sr 0.023 0.205 0.436
Sr 0.185 0.815 0.315
Sr 0.187 0.687 0.813
Al 0.069 0.431 0.569
Al 0.076 0.253 0.690
Al 0.081 0.252 0.185

Starting from a cell relaxed with PBE, the powder X-ray diffraction pattern of Ge7H4O22 was computed for Cu Kα.
Kinematic intensities with the Lorentz-polarization factor, no thermal factor.

Top 10 peaks for 15 to 90 degrees two-theta, by angle:
hkl  d [Å]  2θ/deg  I (rel.)
0 0 3  4.549  19.51  72.3
3 0 0  3.217  27.73  100.0
0 2 4  2.786  32.13  59.4
3 0 3  2.626  34.14  30.5
2 1 4  2.492  36.05  59.1
2 2 3  2.376  37.87  37.7
3 0 6  1.857  49.05  28.0
4 2 2  1.762  51.90  33.6
4 3 1  1.576  58.58  22.3
0 4 8  1.393  67.21  24.1

Atomic structure:
Cell: 11.1391 11.1391 13.6569 Å, 90.00 90.00 120.00°
Space group R3m (No. 160, hexagonal axes)
Inequivalent atoms, fractional coordinates:
Ge 0.0000 0.0000 0.0000
Ge 0.0001 0.5001 0.6520
Ge 0.1025 0.2051 0.2025
H 0.0000 0.0000 0.3369
H 0.2084 0.4167 0.7566
O 0.0000 0.0000 0.2652
O 0.0063 0.2576 0.2782
O 0.0818 0.1635 0.9383
O 0.0986 0.5493 0.3776
O 0.1514 0.0757 0.1145
O 0.1684 0.3369 0.4871
O 0.1703 0.3405 0.1139

Starting from a cell relaxed with PBE, the powder X-ray diffraction pattern of V9GaSiGe was computed for Cu Kα.
Kinematic intensities with the Lorentz-polarization factor, no thermal factor.

Top 10 peaks for 15 to 90 degrees two-theta, by angle:
hkl  d [Å]  2θ/deg  I (rel.)
2 0 0  2.383  37.74  43.1
0 0 6  2.366  38.04  20.9
0 2 3  2.130  42.43  100.0
1 0 6  2.119  42.67  50.1
1 2 3  1.944  46.74  91.8
1 1 6  1.936  46.92  43.5
2 3 3  1.273  74.52  20.0
3 1 6  1.271  74.67  21.3
1 2 9  1.268  74.90  20.6
4 0 0  1.192  80.62  14.7

Atomic structure:
Cell: 4.765 4.769 14.193 Å, 90.00 90.00 90.00°
Space group Pmm2 (No. 25)
Inequivalent atoms, fractional coordinates:
V 0.000 0.000 0.000
V 0.000 0.000 0.164
V 0.000 0.000 0.330
V 0.000 0.000 0.498
V 0.000 0.000 0.665
V 0.000 0.000 0.832
V 0.250 0.500 0.411
V 0.254 0.500 0.748
V 0.257 0.500 0.085
V 0.500 0.248 0.918
V 0.500 0.250 0.581
V 0.500 0.255 0.245
Ga 0.000 0.500 0.580
Ga 0.000 0.500 0.916
Si 0.000 0.500 0.248
Si 0.500 0.000 0.082
Ge 0.500 0.000 0.413
Ge 0.500 0.000 0.749

Starting from a cell relaxed with PBE, the powder X-ray diffraction pattern of K3TbF6 was computed for Cu Kα.
Kinematic intensities with the Lorentz-polarization factor, no thermal factor.

Top 10 peaks for 15 to 90 degrees two-theta, by angle:
hkl  d [Å]  2θ/deg  I (rel.)
1 0 1  5.664  15.65  100.0
1 1 0  5.074  17.48  30.1
2 0 0  3.588  24.81  91.6
1 1 2  3.413  26.11  65.1
1 0 3  2.828  31.64  22.2
2 2 0  2.537  35.38  21.6
3 0 1  2.315  38.90  18.5
0 0 4  2.306  39.06  18.9
3 1 2  2.036  44.50  45.0
2 0 4  1.940  46.83  29.5

Atomic structure:
Cell: 7.176 7.176 9.223 Å, 90.00 90.00 90.00°
Space group I4/mmm (No. 139)
Inequivalent atoms, fractional coordinates:
K 0.000 0.000 0.000
K 0.000 0.500 0.250
Tb 0.000 0.000 0.500
F 0.000 0.000 0.261
F 0.000 0.306 0.500